Computed powder XRD pattern
Compound: Tm3Mg3ZnIrAu
Radiation: copper Kα
Structure: a DFT-relaxed cell (PBE, OQMD)

Crystal structure
abc: 7.5704 7.5704 3.9359
angles: 90.00 90.00 120.00
Space group P-6 (No. 174)
One atom of each set of equivalent atoms:
Tm 0.0930 0.7296 0.0000 x3
Mg 0.4100 0.0814 0.5000 x3
Zn 0.0000 0.0000 0.5000 x1
Ir 0.3333 0.6667 0.5000 x1
Au 0.6667 0.3333 0.0000 x1

Largest 10 diffraction maxima, sorted by position, 10° ≤ 2θ ≤ 80°:
d = 6.556 Å, 2θ 13.51, rel. 29; d = 3.785 Å, 2θ 23.50, rel. 40; d = 3.278 Å, 2θ 27.20, rel. 27; d = 2.728 Å, 2θ 32.83, rel. 54; d = 2.519 Å, 2θ 35.64, rel. 100; d = 2.478 Å, 2θ 36.25, rel. 19; d = 2.185 Å, 2θ 41.31, rel. 33; d = 2.097 Å, 2θ 43.14, rel. 47; d = 1.968 Å, 2θ 46.13, rel. 20; d = 1.405 Å, 2θ 66.56, rel. 28

***

Computed powder XRD pattern
Compound: TbSe2I2
Radiation: copper Kα
Structure: a DFT-relaxed cell (PBE, OQMD)

Crystal structure
abc: 7.887 14.176 8.050
angles: 90.00 109.35 90.00
Space group C2/m (No. 12)
One atom of each set of equivalent atoms:
Tb 0.000 0.164 0.000 x4
Se 0.089 0.000 0.251 x4
Se 0.246 0.500 0.934 x4
I 0.217 0.213 0.746 x8

Largest 10 diffraction maxima, sorted by position, 10° ≤ 2θ ≤ 80°:
d = 7.595 Å, 2θ 11.65, rel. 100; d = 7.088 Å, 2θ 12.49, rel. 33; d = 6.589 Å, 2θ 13.44, rel. 74; d = 3.298 Å, 2θ 27.03, rel. 91; d = 3.250 Å, 2θ 27.44, rel. 24; d = 2.954 Å, 2θ 30.25, rel. 61; d = 2.743 Å, 2θ 32.65, rel. 34; d = 2.589 Å, 2θ 34.65, rel. 30; d = 2.534 Å, 2θ 35.42, rel. 22; d = 2.191 Å, 2θ 41.21, rel. 24